# 1
For KMo2C4ClO8, a cell relaxed with PBE+U gives the simulated XRD peak list in this record (Cu Kα, 1.54184 Å).
Peak positions follow from Bragg's law for the DFT cell and can differ from measured ones.

Main lines, in order of rising 2θ (15 to 90 degrees two-theta):
2θ (°)  Rel. int.  (hkl)
15.0  31  1 0 -1
15.5  100  1 0 1
19.8  18  1 1 0
26.0  39  2 -1 1
27.0  29  -1 2 2
28.6  23  2 -2 1
29.4  29  1 2 0
31.3  18  0 0 4
36.2  27  1 1 -4
37.1  20  -2 2 3
39.2  26  0 3 -3
41.3  19  1 3 1

Cell and atoms:
Cell lengths 7.197, 8.754, 11.451 Å; angles 94.01, 90.43, 110.65 degrees
Sites, in units of the cell vectors:
K  0.210  0.380  0.400
K  0.790  0.620  0.600
Mo  0.087  0.515  0.874
Mo  0.409  0.867  0.565
Mo  0.591  0.133  0.435
Mo  0.913  0.485  0.126
C  0.145  0.954  0.390
C  0.256  0.352  0.066
C  0.268  0.795  0.071
C  0.423  0.203  0.667
C  0.577  0.797  0.333
C  0.732  0.205  0.929
C  0.744  0.648  0.934
C  0.855  0.046  0.610
Cl  0.232  0.580  0.652
Cl  0.768  0.420  0.348
O  0.138  0.850  0.463
O  0.154  0.370  0.151
O  0.162  0.731  0.153
O  0.268  0.385  0.962
O  0.283  0.757  0.966
O  0.286  0.077  0.360
O  0.364  0.057  0.689
O  0.489  0.721  0.419
O  0.511  0.279  0.581
O  0.636  0.943  0.311
O  0.714  0.923  0.640
O  0.717  0.243  0.034
O  0.732  0.615  0.038
O  0.838  0.269  0.847
O  0.846  0.630  0.849
O  0.862  0.150  0.537

---

# 2
For MnC5ClO5, a cell relaxed with PBE+U gives the simulated XRD peak list in this record (Cu Kα, 1.54184 Å).
Peak positions follow from Bragg's law for the DFT cell and can differ from measured ones.

Main lines, in order of rising 2θ (15 to 90 degrees two-theta):
2θ (°)  Rel. int.  (hkl)
15.2  61  0 2 0
16.5  38  1 0 1
17.0  62  2 1 0
18.2  42  1 1 1
22.6  22  1 2 1
27.6  17  2 3 0
28.4  29  3 1 1
30.6  27  4 0 0
31.4  100  2 3 1
33.5  19  0 2 2
35.9  37  3 3 1
37.7  19  3 0 2

Cell and atoms:
Cell lengths 11.680, 11.629, 6.031 Å; angles 90.00, 90.00, 90.00 degrees
Sites, in units of the cell vectors:
Mn  0.122  0.250  0.050
Mn  0.378  0.750  0.550
Mn  0.622  0.250  0.450
Mn  0.878  0.750  0.950
C  0.028  0.250  0.807
C  0.035  0.133  0.188
C  0.035  0.367  0.188
C  0.218  0.135  0.926
C  0.218  0.365  0.926
C  0.282  0.635  0.426
C  0.282  0.865  0.426
C  0.465  0.633  0.688
C  0.465  0.867  0.688
C  0.472  0.750  0.307
C  0.528  0.250  0.693
C  0.535  0.133  0.312
C  0.535  0.367  0.312
C  0.718  0.135  0.574
C  0.718  0.365  0.574
C  0.782  0.635  0.074
C  0.782  0.865  0.074
C  0.965  0.633  0.812
C  0.965  0.867  0.812
C  0.972  0.750  0.193
Cl  0.245  0.250  0.371
Cl  0.255  0.750  0.871
Cl  0.745  0.250  0.129
Cl  0.755  0.750  0.629
O  0.017  0.559  0.735
O  0.017  0.941  0.735
O  0.032  0.750  0.346
O  0.225  0.563  0.354
O  0.225  0.937  0.354
O  0.275  0.063  0.854
O  0.275  0.437  0.854
O  0.468  0.250  0.846
O  0.483  0.059  0.235
O  0.483  0.441  0.235
O  0.517  0.559  0.765
O  0.517  0.941  0.765
O  0.532  0.750  0.154
O  0.725  0.563  0.146
O  0.725  0.937  0.146
O  0.775  0.063  0.646
O  0.775  0.437  0.646
O  0.968  0.250  0.654
O  0.983  0.059  0.265
O  0.983  0.441  0.265